Starting from a structure optimized by DFT (PBE), the X-ray powder pattern of CsCa2As was calculated for Cu Kα X-rays.
Lines closer than 0.1° are merged.

Crystal structure
a = 9.009 Å, b = 9.009 Å, c = 12.770 Å
α = 90.00°, β = 90.00°, γ = 90.00°
Space group I-42d (No. 122)
Unique sites:
Cs: 0.000 0.000 0.000 (multiplicity 4)
Ca: 0.006 0.250 0.625 (multiplicity 8)
As: 0.000 0.000 0.500 (multiplicity 4)

Most intense lines, 10° ≤ 2θ ≤ 80°, in order of rising 2θ:
d (Å)	Rel. int.
4.508	100
3.844	20
2.603	48
2.454	8
2.254	31
2.016	23
1.704	26
1.502	7
1.301	10
1.250	10